(1)
This entry pairs a crystal structure of Cs2TeSe8 with its computed powder diffractogram. Radiation: Cu Kα (weighted mean of Kα1 and Kα2). Structure: DFT lattice parameters and positions (PBE).
Intensities are scaled so that the largest is 1000.

Most intense lines, 2θ from 10° to 90°, most intense first:
2θ 23.80, rel. 1000; 2θ 22.71, rel. 860; 2θ 21.88, rel. 694; 2θ 26.44, rel. 507; 2θ 29.59, rel. 496; 2θ 20.41, rel. 344

Cell and atoms:
a b c (Å): 5.894 6.851 11.494
angles (deg): 78.55 80.13 82.84
Fractional coordinates of all 11 atoms:
Cs (0.078, 0.328, 0.231)
Cs (0.922, 0.672, 0.769)
Te (0.500, 0.000, 0.000)
Se (0.224, 0.143, 0.819)
Se (0.351, 0.611, 0.450)
Se (0.371, 0.633, 0.958)
Se (0.453, 0.103, 0.633)
Se (0.547, 0.897, 0.367)
Se (0.629, 0.367, 0.042)
Se (0.649, 0.389, 0.550)
Se (0.776, 0.857, 0.181)

---

(2)
This entry pairs a crystal structure of SmMnN2 with its computed powder diffractogram. Radiation: Cu Kα (weighted mean of Kα1 and Kα2). Structure: DFT lattice parameters and positions (PBE).
Intensities are scaled so that the largest is 1000.

Most intense lines, 2θ from 10° to 90°, most intense first:
2θ 34.28, rel. 1000; 2θ 33.05, rel. 963; 2θ 23.63, rel. 519; 2θ 48.36, rel. 428; 2θ 59.82, rel. 346; 2θ 41.03, rel. 259

Cell and atoms:
a b c (Å): 5.421 5.421 6.300
angles (deg): 90.00 90.00 120.00
Fractional coordinates of all 12 atoms:
Sm (0.000, 0.648, 0.167)
Sm (0.352, 0.352, 0.500)
Sm (0.648, 0.000, 0.833)
Mn (0.000, 0.591, 0.667)
Mn (0.409, 0.409, 0.000)
Mn (0.591, 0.000, 0.333)
N (0.123, 0.432, 0.872)
N (0.309, 0.877, 0.539)
N (0.432, 0.123, 0.128)
N (0.568, 0.691, 0.205)
N (0.691, 0.568, 0.795)
N (0.877, 0.309, 0.461)

---

(3)
This entry pairs a crystal structure of LaTc2C2 with its computed powder diffractogram. Radiation: Cu Kα (weighted mean of Kα1 and Kα2). Structure: DFT lattice parameters and positions (PBE).
Intensities are scaled so that the largest is 1000.

Most intense lines, 2θ from 10° to 90°, most intense first:
2θ 33.36, rel. 1000; 2θ 32.29, rel. 959; 2θ 43.28, rel. 501; 2θ 40.05, rel. 327; 2θ 50.72, rel. 290; 2θ 58.94, rel. 195

Cell and atoms:
a b c (Å): 6.621 5.897 5.610
angles (deg): 70.21 56.92 52.87
Fractional coordinates of all 10 atoms:
La (0.125, 0.125, 0.125)
La (0.875, 0.875, 0.875)
Tc (0.236, 0.236, 0.514)
Tc (0.486, 0.486, 0.764)
Tc (0.514, 0.514, 0.236)
Tc (0.764, 0.764, 0.486)
C (0.190, 0.560, 0.190)
C (0.440, 0.810, 0.440)
C (0.560, 0.190, 0.560)
C (0.810, 0.440, 0.810)

---

Number 3 is which compound? LaTc2C2

---

Which formula does entry 3 have? LaTc2C2